Entry 1:
# ErSbRh3
Simulated X-ray powder pattern, Cu Ka. Input: a DFT-relaxed cell (GGA-PBE, Alexandria).
Lines closer than 0.1° are merged.

Main lines, low angle first (10 to 80 degrees two-theta):
d_spacing, Position (°2θ), I (rel.)
2.959, 30.20, 100
2.344, 38.40, 68
2.238, 40.30, 34
2.215, 40.73, 47
2.151, 42.00, 83
1.446, 64.44, 34

Cell lengths 6.4665, 6.4665, 6.4665 Å; angles 129.41, 107.69, 93.51 degrees
Element x y z (fractional)
Er (0.2648, 0.0148, 0.2500)
Er (0.7352, 0.9852, 0.7500)
Sb (0.0000, 0.5000, 0.5000)
Sb (0.5000, 0.5000, 0.0000)
Rh (0.0480, 0.2980, 0.7500)
Rh (0.3065, 0.0000, 0.8065)
Rh (0.3065, 0.5000, 0.3065)
Rh (0.6935, 0.0000, 0.1935)
Rh (0.6935, 0.5000, 0.6935)
Rh (0.9520, 0.7020, 0.2500)

---

Entry 2:
# Er5Sc4Rh4
Simulated X-ray powder pattern, Cu Ka. Input: a DFT-relaxed cell (GGA-PBE, Alexandria).
Lines closer than 0.1° are merged.

Main lines, low angle first (10 to 80 degrees two-theta):
d_spacing, Position (°2θ), I (rel.)
8.346, 10.60, 44
2.862, 31.25, 91
2.639, 33.97, 59
2.575, 34.84, 100
2.360, 38.13, 72
2.086, 43.38, 36

Cell lengths 8.6023, 8.6023, 8.6023 Å; angles 93.37, 93.37, 151.93 degrees
Element x y z (fractional)
Er (0.0000, 0.0000, 0.0000)
Er (0.3101, 0.3724, 0.6825)
Er (0.3724, 0.6899, 0.0623)
Er (0.6276, 0.3101, 0.9377)
Er (0.6899, 0.6276, 0.3175)
Sc (0.1081, 0.5939, 0.7020)
Sc (0.4061, 0.1081, 0.5142)
Sc (0.5939, 0.8919, 0.4858)
Sc (0.8919, 0.4061, 0.2980)
Rh (0.0745, 0.2516, 0.3261)
Rh (0.2516, 0.9255, 0.1771)
Rh (0.7484, 0.0745, 0.8229)
Rh (0.9255, 0.7484, 0.6739)

---

Entry 3:
# Er3ScRh4
Simulated X-ray powder pattern, Cu Ka. Input: a DFT-relaxed cell (GGA-PBE, Alexandria).
Lines closer than 0.1° are merged.

Main lines, low angle first (10 to 80 degrees two-theta):
d_spacing, Position (°2θ), I (rel.)
2.391, 37.63, 100
2.331, 38.63, 47
1.736, 52.72, 9
1.648, 55.78, 16
1.392, 67.24, 17
1.357, 69.25, 33

Cell lengths 3.2959, 3.2959, 13.8899 Å; angles 90.00, 90.00, 90.00 degrees
Element x y z (fractional)
Er (0.0000, 0.0000, 0.0000)
Er (0.0000, 0.0000, 0.2553)
Er (0.0000, 0.0000, 0.7447)
Sc (0.0000, 0.0000, 0.5000)
Rh (0.5000, 0.5000, 0.1281)
Rh (0.5000, 0.5000, 0.3849)
Rh (0.5000, 0.5000, 0.6151)
Rh (0.5000, 0.5000, 0.8719)

---

Entry 4:
# Er4ScRh3
Simulated X-ray powder pattern, Cu Ka. Input: a DFT-relaxed cell (GGA-PBE, Alexandria).
Lines closer than 0.1° are merged.

Main lines, low angle first (10 to 80 degrees two-theta):
d_spacing, Position (°2θ), I (rel.)
2.966, 30.13, 42
2.682, 33.41, 88
2.424, 37.09, 36
2.404, 37.41, 100
2.346, 38.37, 33
1.580, 58.40, 27

Cell lengths 8.2192, 8.2192, 8.2192 Å; angles 97.48, 97.48, 137.69 degrees
Element x y z (fractional)
Er (0.0807, 0.7873, 0.8680)
Er (0.2127, 0.0807, 0.2934)
Er (0.2873, 0.5807, 0.8680)
Er (0.4193, 0.2873, 0.7066)
Er (0.5807, 0.7127, 0.2934)
Er (0.7127, 0.4193, 0.1320)
Er (0.7873, 0.9193, 0.7066)
Er (0.9193, 0.2127, 0.1320)
Sc (0.2500, 0.7500, 0.5000)
Sc (0.7500, 0.2500, 0.5000)
Rh (0.1513, 0.3487, 0.5000)
Rh (0.2500, 0.2500, 0.0000)
Rh (0.3487, 0.8487, 0.1974)
Rh (0.6513, 0.1513, 0.8026)
Rh (0.7500, 0.7500, 0.0000)
Rh (0.8487, 0.6513, 0.5000)

---

Entry 5:
# TbErScRh
Simulated X-ray powder pattern, Cu Ka. Input: a DFT-relaxed cell (GGA-PBE, Alexandria).
Lines closer than 0.1° are merged.

Main lines, low angle first (10 to 80 degrees two-theta):
d_spacing, Position (°2θ), I (rel.)
3.577, 24.89, 16
2.529, 35.49, 100
1.789, 51.06, 18
1.600, 57.62, 7
1.460, 63.73, 36
1.265, 75.11, 11

Cell lengths 5.0589, 5.0589, 5.0589 Å; angles 60.00, 60.00, 60.00 degrees
Element x y z (fractional)
Tb (0.0000, 0.0000, 0.0000)
Er (0.5000, 0.5000, 0.5000)
Sc (0.2500, 0.2500, 0.2500)
Rh (0.7500, 0.7500, 0.7500)

---

Entry 6:
# Er4RhSe2
Simulated X-ray powder pattern, Cu Ka. Input: a DFT-relaxed cell (GGA-PBE, Alexandria).
Lines closer than 0.1° are merged.

Main lines, low angle first (10 to 80 degrees two-theta):
d_spacing, Position (°2θ), I (rel.)
3.089, 28.90, 100
2.861, 31.27, 38
2.803, 31.93, 72
2.649, 33.84, 55
2.225, 40.55, 50
1.970, 46.08, 39

Cell lengths 6.7890, 6.7890, 14.0324 Å; angles 90.00, 90.00, 147.49 degrees
Element x y z (fractional)
Er (0.0000, 0.0000, 0.0000)
Er (0.0000, 0.0000, 0.5000)
Er (0.2950, 0.7050, 0.6293)
Er (0.2950, 0.7050, 0.8707)
Er (0.4516, 0.5484, 0.2500)
Er (0.5484, 0.4516, 0.7500)
Er (0.7050, 0.2950, 0.1293)
Er (0.7050, 0.2950, 0.3707)
Rh (0.1052, 0.8948, 0.2500)
Rh (0.8948, 0.1052, 0.7500)
Se (0.3580, 0.6420, 0.0654)
Se (0.3580, 0.6420, 0.4346)
Se (0.6420, 0.3580, 0.5654)
Se (0.6420, 0.3580, 0.9346)

---

Entry 7:
# Er3Si2Rh6
Simulated X-ray powder pattern, Cu Ka. Input: a DFT-relaxed cell (GGA-PBE, Alexandria).
Lines closer than 0.1° are merged.

Main lines, low angle first (10 to 80 degrees two-theta):
d_spacing, Position (°2θ), I (rel.)
3.268, 27.29, 20
2.923, 30.58, 37
2.471, 36.36, 29
2.311, 38.97, 27
2.179, 41.44, 100
1.214, 78.86, 19

Cell lengths 8.0057, 8.0057, 8.0057 Å; angles 109.47, 109.47, 109.47 degrees
Element x y z (fractional)
Er (0.0000, 0.2939, 0.2939)
Er (0.0000, 0.7061, 0.7061)
Er (0.2939, 0.0000, 0.2939)
Er (0.2939, 0.2939, 0.0000)
Er (0.7061, 0.0000, 0.7061)
Er (0.7061, 0.7061, 0.0000)
Si (0.0000, 0.0000, 0.5000)
Si (0.0000, 0.5000, 0.0000)
Si (0.5000, 0.0000, 0.0000)
Si (0.5000, 0.5000, 0.5000)
Rh (0.0000, 0.3134, 0.6866)
Rh (0.0000, 0.6866, 0.3134)
Rh (0.3134, 0.0000, 0.6866)
Rh (0.3134, 0.3134, 0.6269)
Rh (0.3134, 0.6269, 0.3134)
Rh (0.3134, 0.6866, 0.0000)
Rh (0.3731, 0.6866, 0.6866)
Rh (0.6269, 0.3134, 0.3134)
Rh (0.6866, 0.0000, 0.3134)
Rh (0.6866, 0.3134, 0.0000)
Rh (0.6866, 0.3731, 0.6866)
Rh (0.6866, 0.6866, 0.3731)

---

Entry 8:
# ErSi2Rh3
Simulated X-ray powder pattern, Cu Ka. Input: a DFT-relaxed cell (GGA-PBE, Alexandria).
Lines closer than 0.1° are merged.

Main lines, low angle first (10 to 80 degrees two-theta):
d_spacing, Position (°2θ), I (rel.)
2.875, 31.11, 91
2.400, 37.48, 100
2.194, 41.15, 74
1.996, 45.43, 32
1.619, 56.86, 29
1.437, 64.87, 26

Cell lengths 6.6031, 6.6031, 6.6031 Å; angles 114.13, 86.76, 130.37 degrees
Element x y z (fractional)
Er (0.4536, 0.2036, 0.2500)
Er (0.5464, 0.7964, 0.7500)
Si (0.1149, 0.6934, 0.4215)
Si (0.2281, 0.3066, 0.9215)
Si (0.7719, 0.6934, 0.0785)
Si (0.8851, 0.3066, 0.5785)
Rh (0.0000, 0.0000, 0.5000)
Rh (0.0000, 0.2139, 0.2139)
Rh (0.0000, 0.5000, 0.0000)
Rh (0.0000, 0.7861, 0.7861)
Rh (0.5000, 0.2139, 0.7139)
Rh (0.5000, 0.7861, 0.2861)

---

Entry 9:
# Er3Si2Rh2
Simulated X-ray powder pattern, Cu Ka. Input: a DFT-relaxed cell (GGA-PBE, Alexandria).
Lines closer than 0.1° are merged.

Main lines, low angle first (10 to 80 degrees two-theta):
d_spacing, Position (°2θ), I (rel.)
3.694, 24.09, 51
2.636, 34.01, 61
2.605, 34.43, 49
2.553, 35.15, 98
2.325, 38.74, 65
2.233, 40.39, 100

Cell lengths 5.5369, 7.6840, 13.0217 Å; angles 90.00, 90.00, 90.00 degrees
Element x y z (fractional)
Er (0.1304, 0.2446, 0.2500)
Er (0.1304, 0.2554, 0.7500)
Er (0.3606, 0.6053, 0.1023)
Er (0.3606, 0.6053, 0.3977)
Er (0.3606, 0.8947, 0.6023)
Er (0.3606, 0.8947, 0.8977)
Er (0.6394, 0.1053, 0.1023)
Er (0.6394, 0.1053, 0.3977)
Er (0.6394, 0.3947, 0.6023)
Er (0.6394, 0.3947, 0.8977)
Er (0.8696, 0.7446, 0.2500)
Er (0.8696, 0.7554, 0.7500)
Si (0.1341, 0.2500, 0.0000)
Si (0.1341, 0.2500, 0.5000)
Si (0.3640, 0.6079, 0.7500)
Si (0.3640, 0.8921, 0.2500)
Si (0.6360, 0.1079, 0.7500)
Si (0.6360, 0.3921, 0.2500)
Si (0.8659, 0.7500, 0.0000)
Si (0.8659, 0.7500, 0.5000)
Rh (0.1342, 0.5359, 0.5914)
Rh (0.1342, 0.5359, 0.9086)
Rh (0.1342, 0.9641, 0.0914)
Rh (0.1342, 0.9641, 0.4086)
Rh (0.8658, 0.0359, 0.5914)
Rh (0.8658, 0.0359, 0.9086)
Rh (0.8658, 0.4641, 0.0914)
Rh (0.8658, 0.4641, 0.4086)

---

Entry 10:
# ErSiRh
Simulated X-ray powder pattern, Cu Ka. Input: a DFT-relaxed cell (GGA-PBE, Alexandria).
Lines closer than 0.1° are merged.

Main lines, low angle first (10 to 80 degrees two-theta):
d_spacing, Position (°2θ), I (rel.)
3.622, 24.58, 28
2.596, 34.56, 100
2.091, 43.26, 41
1.629, 56.51, 24
1.390, 67.36, 22
1.285, 73.74, 22

Cell lengths 4.1827, 4.1827, 3.7213 Å; angles 90.00, 90.00, 120.00 degrees
Element x y z (fractional)
Er (0.0000, 0.0000, 0.0000)
Si (0.3333, 0.6667, 0.5000)
Rh (0.6667, 0.3333, 0.5000)

---

Entry 11:
# Er3Si4Rh2
Simulated X-ray powder pattern, Cu Ka. Input: a DFT-relaxed cell (GGA-PBE, Alexandria).
Lines closer than 0.1° are merged.

Main lines, low angle first (10 to 80 degrees two-theta):
d_spacing, Position (°2θ), I (rel.)
3.587, 24.82, 49
2.866, 31.21, 40
2.600, 34.50, 100
2.525, 35.55, 45
2.476, 36.28, 36
2.066, 43.81, 40

Cell lengths 5.6675, 5.6675, 7.9746 Å; angles 106.90, 106.90, 42.77 degrees
Element x y z (fractional)
Er (0.0000, 0.0000, 0.0000)
Er (0.3795, 0.3795, 0.3026)
Er (0.6205, 0.6205, 0.6974)
Si (0.0909, 0.0909, 0.4079)
Si (0.2805, 0.2805, 0.9268)
Si (0.7195, 0.7195, 0.0732)
Si (0.9091, 0.9091, 0.5921)
Rh (0.3126, 0.3126, 0.6385)
Rh (0.6874, 0.6874, 0.3615)

---

Entry 12:
# Er2SiSn2Rh4
Simulated X-ray powder pattern, Cu Ka. Input: a DFT-relaxed cell (GGA-PBE, Alexandria).
Lines closer than 0.1° are merged.

Main lines, low angle first (10 to 80 degrees two-theta):
d_spacing, Position (°2θ), I (rel.)
2.559, 35.06, 100
2.248, 40.11, 13
2.201, 41.01, 42
1.573, 58.70, 17
1.556, 59.39, 14
1.330, 70.87, 25

Cell lengths 6.2924, 6.2924, 6.2924 Å; angles 120.71, 120.71, 88.78 degrees
Element x y z (fractional)
Er (0.1987, 0.1987, 0.0000)
Er (0.8013, 0.8013, 0.0000)
Si (0.5000, 0.5000, 0.0000)
Sn (0.2500, 0.7500, 0.5000)
Sn (0.7500, 0.2500, 0.5000)
Rh (0.2426, 0.2426, 0.4852)
Rh (0.2426, 0.7574, 0.0000)
Rh (0.7574, 0.2426, 0.0000)
Rh (0.7574, 0.7574, 0.5148)

---

Entry 13:
# ErSi2TcRh
Simulated X-ray powder pattern, Cu Ka. Input: a DFT-relaxed cell (GGA-PBE, Alexandria).
Lines closer than 0.1° are merged.

Main lines, low angle first (10 to 80 degrees two-theta):
d_spacing, Position (°2θ), I (rel.)
3.838, 23.18, 34
2.537, 35.37, 32
2.519, 35.65, 100
2.095, 43.18, 39
1.576, 58.58, 17
1.277, 74.28, 23

Cell lengths 5.6263, 5.6263, 5.6263 Å; angles 136.28, 136.28, 63.55 degrees
Element x y z (fractional)
Er (0.0000, 0.0000, 0.0000)
Si (0.3715, 0.3715, 0.0000)
Si (0.6285, 0.6285, 0.0000)
Tc (0.7500, 0.2500, 0.5000)
Rh (0.2500, 0.7500, 0.5000)